(1)
Computed powder X-ray diffraction pattern
Compound: Y3Pd7
Radiation: Cu Kα (weighted mean of Kα1 and Kα2)
Structure: a crystal structure in Alexandria, relaxed with GGA-PBE

Crystal structure
Unit cell a=15.3953 b=4.2411 c=5.8512 alpha=90.00 beta=104.63 gamma=90.00
Space group C2/m (No. 12)
Unique sites:
Y: 0.0000 0.0000 0.0000
Y: 0.1885 0.0000 0.6340
Pd: 0.0000 0.0000 0.5000
Pd: 0.0985 0.5000 0.8158
Pd: 0.1002 0.5000 0.3179
Pd: 0.1986 0.0000 0.1260

Most intense lines, 10 to 90 degrees two-theta, in order of falling intensity:
2θ (°)  I_rel  (hkl)
36.9  100.0  5 1 0
37.4  90.1  1 1 -2
42.6  33.8  0 2 0
41.9  29.6  6 0 -2
44.8  28.1  4 0 2
63.6  19.3  4 2 2
61.3  19.2  6 2 -2
74.3  12.3  5 3 0
74.6  11.4  1 3 -2
77.1  10.9  9 1 2


(2)
Computed powder X-ray diffraction pattern
Compound: K2AcNiH8
Radiation: Cu Kα (weighted mean of Kα1 and Kα2)
Structure: a crystal structure in Alexandria, relaxed with GGA-PBE

Crystal structure
Unit cell a=5.3266 b=5.3266 c=6.5888 alpha=90.00 beta=90.00 gamma=120.00
Space group P-3m1 (No. 164)
Unique sites:
K: 0.3333 0.6667 0.3723
Ac: 0.0000 0.0000 0.0000
Ni: 0.0000 0.0000 0.5000
H: 0.1307 0.2614 0.6517
H: 0.3333 0.6667 0.9869

Most intense lines, 10 to 90 degrees two-theta, in order of falling intensity:
2θ (°)  I_rel  (hkl)
19.2  100.0  1 0 0
33.4  72.8  1 0 2
23.5  70.3  0 1 1
33.7  56.7  1 1 0
43.7  33.3  1 1 2
60.0  27.4  2 1 2
48.2  26.8  0 2 2
27.1  19.5  0 0 2
41.5  17.3  2 0 1
59.6  16.7  0 1 4


(3)
Computed powder X-ray diffraction pattern
Compound: CaMg2CdAg4
Radiation: Cu Kα (weighted mean of Kα1 and Kα2)
Structure: a crystal structure in Alexandria, relaxed with GGA-PBE

Crystal structure
Unit cell a=4.8956 b=4.8956 c=23.6251 alpha=90.00 beta=90.00 gamma=120.00
Space group R-3m (No. 166, hexagonal axes)
Unique sites:
Ca: 0.0000 0.0000 0.0000
Mg: 0.0000 0.0000 0.2497
Cd: 0.0000 0.0000 0.5000
Ag: 0.0000 0.0000 0.1293
Ag: 0.0000 0.0000 0.3794

Most intense lines, 10 to 90 degrees two-theta, in order of falling intensity:
2θ (°)  I_rel  (hkl)
36.7  100.0  1 1 0
37.1  93.9  0 1 8
25.9  33.0  1 0 4
53.2  31.6  2 0 8
66.4  31.3  1 2 8
66.1  16.4  3 0 0
89.8  14.1  3 1 8
67.1  13.7  1 0 16
11.2  11.9  0 0 3
78.1  10.0  2 2 0